# 1
Diffraction record for CsTi3P5O19. The powder XRD pattern is theoretical, not measured: it uses DFT lattice parameters and positions (GGA-PBE) and Cu Kα.
Peak positions follow from Bragg's law for the DFT cell and can differ from measured ones.

Atomic structure:
abc: 8.5815 8.5815 6.4019
angles: 98.61 98.61 113.20
Atoms (fractional coordinates):
Cs 0.0000 0.0000 0.0000
Ti 0.1464 0.3931 0.6577
Ti 0.3931 0.1464 0.6577
Ti 0.6678 0.6678 0.3191
P 0.0873 0.7176 0.4756
P 0.2196 0.5128 0.2061
P 0.5128 0.2196 0.2061
P 0.5724 0.5724 0.7786
P 0.7176 0.0873 0.4756
O 0.0685 0.5877 0.6174
O 0.1373 0.4275 0.9663
O 0.1496 0.6591 0.2622
O 0.1527 0.3779 0.3414
O 0.2190 0.2190 0.6621
O 0.2246 0.9003 0.5884
O 0.3779 0.1527 0.3414
O 0.3875 0.5656 0.7379
O 0.4178 0.6086 0.2554
O 0.4275 0.1373 0.9663
O 0.5656 0.3875 0.7379
O 0.5877 0.0685 0.6174
O 0.6086 0.4178 0.2554
O 0.6591 0.1496 0.2622
O 0.6724 0.6724 0.0145
O 0.6753 0.6753 0.6275
O 0.7251 0.9164 0.3800
O 0.9003 0.2246 0.5884
O 0.9164 0.7251 0.3800

The 10 most intense peaks (10 to 90 degrees two-theta), low angle first:
2θ 12.4, I 59; 2θ 19.0, I 55; 2θ 21.0, I 60; 2θ 23.2, I 57; 2θ 24.0, I 56; 2θ 24.3, I 48; 2θ 27.0, I 42; 2θ 28.6, I 100; 2θ 30.1, I 47; 2θ 32.7, I 49

# 2
Diffraction record for CsTi3P5O19. The powder XRD pattern is theoretical, not measured: it uses DFT lattice parameters and positions (GGA-PBE) and Cu Kα.
Peak positions follow from Bragg's law for the DFT cell and can differ from measured ones.

Atomic structure:
abc: 10.1260 10.1260 8.9186
angles: 95.75 95.75 112.77
Atoms (fractional coordinates):
Cs 0.0685 0.9315 0.5000
Cs 0.9315 0.0685 0.0000
Ti 0.0066 0.5086 0.1618
Ti 0.2549 0.4747 0.6702
Ti 0.4747 0.2549 0.1702
Ti 0.5086 0.0066 0.6618
Ti 0.5358 0.7561 0.1514
Ti 0.7561 0.5358 0.6514
P 0.0874 0.6712 0.8452
P 0.2750 0.4213 0.0320
P 0.3032 0.7091 0.4111
P 0.3409 0.9248 0.9757
P 0.4213 0.2750 0.5320
P 0.5906 0.7363 0.7886
P 0.6712 0.0874 0.3452
P 0.7091 0.3032 0.9111
P 0.7363 0.5906 0.2886
P 0.9248 0.3409 0.4757
O 0.0398 0.6015 0.9854
O 0.0520 0.3488 0.5874
O 0.1496 0.4246 0.1166
O 0.1638 0.6779 0.2962
O 0.1694 0.8429 0.9102
O 0.1911 0.6225 0.7697
O 0.2244 0.3863 0.8586
O 0.2775 0.5761 0.4941
O 0.2990 0.3165 0.5829
O 0.3165 0.2990 0.0829
O 0.3331 0.8478 0.5255
O 0.3488 0.0520 0.0874
O 0.3863 0.2244 0.3586
O 0.3899 0.8211 0.0510
O 0.4098 0.9716 0.8346
O 0.4119 0.5642 0.0698
O 0.4246 0.1496 0.6166
O 0.4359 0.7352 0.3269
O 0.4479 0.6000 0.7516
O 0.5642 0.4119 0.5698
O 0.5761 0.2775 0.9941
O 0.5865 0.8616 0.7040
O 0.6000 0.4479 0.2516
O 0.6015 0.0398 0.4854
O 0.6225 0.1911 0.2697
O 0.6271 0.7889 0.9620
O 0.6649 0.9611 0.2324
O 0.6779 0.1638 0.7962
O 0.6950 0.7130 0.2376
O 0.7130 0.6950 0.7376
O 0.7352 0.4359 0.8269
O 0.7889 0.6271 0.4620
O 0.8211 0.3899 0.5510
O 0.8429 0.1694 0.4102
O 0.8478 0.3331 0.0255
O 0.8616 0.5865 0.2040
O 0.9611 0.6649 0.7324
O 0.9716 0.4098 0.3346

The 10 most intense peaks (10 to 90 degrees two-theta), low angle first:
2θ 14.6, I 21; 2θ 20.3, I 20; 2θ 21.1, I 94; 2θ 23.4, I 100; 2θ 23.5, I 24; 2θ 24.8, I 47; 2θ 25.8, I 29; 2θ 28.5, I 49; 2θ 29.0, I 20; 2θ 36.1, I 19